1.
Calculated X-ray diffraction stick pattern of Cu4SiP8 for copper Kα, from a DFT-relaxed cell (PBE, Alexandria).
Neutral-atom scattering factors, no anomalous dispersion.

Principal peaks in the range 10° ≤ 2θ ≤ 80°, low angle first:
Position (°2θ), I (rel.)
20.53, 247
30.59, 1000
34.50, 202
40.04, 131
49.50, 320
54.06, 155

Crystal structure
abc: 9.1180 9.1180 9.1180
angles: 95.69 95.69 143.29
Sites, in units of the cell vectors:
Cu1 0.2396 0.1812 0.0375
Cu2 0.2979 0.2604 0.4415
Cu3 0.3188 0.8563 0.0585
Cu4 0.3563 0.7979 0.5375
Cu5 0.6437 0.2021 0.4625
Cu6 0.6812 0.1437 0.9415
Cu7 0.7021 0.7396 0.5585
Cu8 0.7604 0.8188 0.9625
Si1 0.1250 0.3750 0.7500
Si2 0.8750 0.6250 0.2500
P1 0.0049 0.7826 0.0467
P2 0.0501 0.8740 0.6311
P3 0.0810 0.4499 0.3239
P4 0.2358 0.9581 0.4533
P5 0.2571 0.5810 0.1311
P6 0.2826 0.7358 0.7777
P7 0.3740 0.2429 0.8239
P8 0.4581 0.5049 0.7223
P9 0.5419 0.4951 0.2777
P10 0.6260 0.7571 0.1761
P11 0.7174 0.2642 0.2223
P12 0.7429 0.4190 0.8689
P13 0.7642 0.0419 0.5467
P14 0.9190 0.5501 0.6761
P15 0.9499 0.1260 0.3689
P16 0.9951 0.2174 0.9533

2.
Calculated X-ray diffraction stick pattern of Cu4SnP10 for copper Kα, from a DFT-relaxed cell (PBE, Alexandria).
Neutral-atom scattering factors, no anomalous dispersion.

Principal peaks in the range 10° ≤ 2θ ≤ 80°, low angle first:
Position (°2θ), I (rel.)
28.60, 247
29.89, 1000
37.89, 154
45.54, 217
49.81, 494
59.19, 225

Crystal structure
abc: 7.3177 7.3177 7.3177
angles: 60.06 60.06 60.06
Sites, in units of the cell vectors:
Cu1 0.0000 0.0000 0.0000
Cu2 0.1217 0.6289 0.6289
Cu3 0.6289 0.1217 0.6289
Cu4 0.6289 0.6289 0.1217
Sn1 0.5717 0.5717 0.5717
P1 0.0052 0.0052 0.4937
P2 0.0052 0.4937 0.0052
P3 0.0103 0.4953 0.4953
P4 0.1261 0.1261 0.6192
P5 0.1261 0.6192 0.1261
P6 0.1271 0.1271 0.1271
P7 0.4937 0.0052 0.0052
P8 0.4953 0.0103 0.4953
P9 0.4953 0.4953 0.0103
P10 0.6192 0.1261 0.1261

3.
Calculated X-ray diffraction stick pattern of SrCuP2 for copper Kα, from a DFT-relaxed cell (PBE, Alexandria).
Neutral-atom scattering factors, no anomalous dispersion.

Principal peaks in the range 10° ≤ 2θ ≤ 80°, low angle first:
Position (°2θ), I (rel.)
24.98, 971
28.15, 815
28.58, 659
29.59, 1000
32.67, 668
42.20, 619

Crystal structure
abc: 4.5614 4.5614 17.1430
angles: 90.00 90.00 90.00
Sites, in units of the cell vectors:
Sr1 0.1308 0.7982 0.0000
Sr2 0.2018 0.1308 0.2500
Sr3 0.7982 0.8692 0.7500
Sr4 0.8692 0.2018 0.5000
Cu1 0.3234 0.6017 0.6105
Cu2 0.3983 0.3234 0.8605
Cu3 0.6017 0.6766 0.3605
Cu4 0.6766 0.3983 0.1105
P1 0.0984 0.6477 0.3783
P2 0.2453 0.3718 0.7318
P3 0.3523 0.0984 0.6283
P4 0.3718 0.7547 0.4818
P5 0.6282 0.2453 0.9818
P6 0.6477 0.9016 0.1283
P7 0.7547 0.6282 0.2318
P8 0.9016 0.3523 0.8783

4.
Calculated X-ray diffraction stick pattern of Sr3CuP3 for copper Kα, from a DFT-relaxed cell (PBE, Alexandria).
Neutral-atom scattering factors, no anomalous dispersion.

Principal peaks in the range 10° ≤ 2θ ≤ 80°, low angle first:
Position (°2θ), I (rel.)
24.70, 1000
28.73, 786
28.87, 556
40.67, 597
40.80, 687
41.16, 833

Crystal structure
abc: 9.8020 9.8020 12.4417
angles: 90.00 90.00 37.67
Sites, in units of the cell vectors:
Sr1 0.0241 0.6267 0.1302
Sr2 0.1267 0.5241 0.6302
Sr3 0.1825 0.8175 0.8528
Sr4 0.3175 0.6825 0.3528
Sr5 0.3733 0.9759 0.1302
Sr6 0.4759 0.8733 0.6302
Sr7 0.5241 0.1267 0.3698
Sr8 0.6267 0.0241 0.8698
Sr9 0.6825 0.3175 0.6472
Sr10 0.8175 0.1825 0.1472
Sr11 0.8733 0.4759 0.3698
Sr12 0.9759 0.3733 0.8698
Cu1 0.0811 0.0811 0.5000
Cu2 0.4189 0.4189 0.0000
Cu3 0.5811 0.5811 0.0000
Cu4 0.9189 0.9189 0.5000
P1 0.0410 0.6443 0.3836
P2 0.1443 0.5410 0.8836
P3 0.1986 0.8014 0.6028
P4 0.3014 0.6986 0.1028
P5 0.3557 0.9590 0.3836
P6 0.4590 0.8557 0.8836
P7 0.5410 0.1443 0.1164
P8 0.6443 0.0410 0.6164
P9 0.6986 0.3014 0.8972
P10 0.8014 0.1986 0.3972
P11 0.8557 0.4590 0.1164
P12 0.9590 0.3557 0.6164

5.
Calculated X-ray diffraction stick pattern of SrTbCu2P2 for copper Kα, from a DFT-relaxed cell (PBE, Alexandria).
Neutral-atom scattering factors, no anomalous dispersion.

Principal peaks in the range 10° ≤ 2θ ≤ 80°, low angle first:
Position (°2θ), I (rel.)
10.63, 190
33.59, 1000
45.16, 362
57.44, 208
64.50, 213
75.92, 181

Crystal structure
abc: 4.0152 4.0152 8.3223
angles: 90.00 90.00 120.00
Sites, in units of the cell vectors:
Sr1 0.0000 0.0000 0.0000
Tb1 0.0000 0.0000 0.5000
Cu1 0.3333 0.6667 0.7274
Cu2 0.6667 0.3333 0.2726
P1 0.3333 0.6667 0.2690
P2 0.6667 0.3333 0.7310

6.
Calculated X-ray diffraction stick pattern of Ta2CuP6 for copper Kα, from a DFT-relaxed cell (PBE, Alexandria).
Neutral-atom scattering factors, no anomalous dispersion.

Principal peaks in the range 10° ≤ 2θ ≤ 80°, low angle first:
Position (°2θ), I (rel.)
17.40, 356
21.68, 1000
29.43, 639
43.15, 646
44.18, 264
53.98, 222

Crystal structure
abc: 5.7981 5.7981 10.6860
angles: 90.00 90.00 90.00
Sites, in units of the cell vectors:
Ta1 0.0000 0.0000 0.1455
Ta2 0.0000 0.0000 0.8545
Ta3 0.5000 0.5000 0.3545
Ta4 0.5000 0.5000 0.6455
Cu1 0.0000 0.0000 0.5000
Cu2 0.5000 0.5000 0.0000
P1 0.2068 0.2068 0.3077
P2 0.2068 0.2068 0.6923
P3 0.2294 0.2294 0.0000
P4 0.2706 0.7294 0.5000
P5 0.2932 0.7068 0.1923
P6 0.2932 0.7068 0.8077
P7 0.7068 0.2932 0.1923
P8 0.7068 0.2932 0.8077
P9 0.7294 0.2706 0.5000
P10 0.7706 0.7706 0.0000
P11 0.7932 0.7932 0.3077
P12 0.7932 0.7932 0.6923

7.
Calculated X-ray diffraction stick pattern of CuTcP for copper Kα, from a DFT-relaxed cell (PBE, Alexandria).
Neutral-atom scattering factors, no anomalous dispersion.

Principal peaks in the range 10° ≤ 2θ ≤ 80°, low angle first:
Position (°2θ), I (rel.)
31.24, 777
35.77, 1000
42.23, 638
44.29, 694
47.13, 524
48.65, 406

Crystal structure
abc: 3.7434 5.2171 4.4457
angles: 90.00 90.00 90.00
Sites, in units of the cell vectors:
Cu1 0.0000 0.0792 0.0000
Cu2 0.5000 0.9208 0.5000
Tc1 0.0000 0.5625 0.2337
Tc2 0.5000 0.4375 0.7337
P1 0.0000 0.7117 0.7359
P2 0.5000 0.2883 0.2359

8.
Calculated X-ray diffraction stick pattern of ThCu4P2 for copper Kα, from a DFT-relaxed cell (PBE, Alexandria).
Neutral-atom scattering factors, no anomalous dispersion.

Principal peaks in the range 10° ≤ 2θ ≤ 80°, low angle first:
Position (°2θ), I (rel.)
24.17, 193
25.90, 283
35.72, 1000
38.66, 429
62.18, 211
68.06, 224

Crystal structure
abc: 7.3652 7.3652 3.8898
angles: 90.00 90.00 90.00
Sites, in units of the cell vectors:
Th1 0.0000 0.0000 0.0000
Th2 0.5000 0.5000 0.5000
Cu1 0.0835 0.3399 0.5000
Cu2 0.1601 0.5835 0.0000
Cu3 0.3399 0.0835 0.5000
Cu4 0.4165 0.8399 0.0000
Cu5 0.5835 0.1601 0.0000
Cu6 0.6601 0.9165 0.5000
Cu7 0.8399 0.4165 0.0000
Cu8 0.9165 0.6601 0.5000
P1 0.2141 0.7859 0.5000
P2 0.2859 0.2859 0.0000
P3 0.7141 0.7141 0.0000
P4 0.7859 0.2141 0.5000

9.
Calculated X-ray diffraction stick pattern of Ti11CuP8 for copper Kα, from a DFT-relaxed cell (PBE, Alexandria).
Neutral-atom scattering factors, no anomalous dispersion.

Principal peaks in the range 10° ≤ 2θ ≤ 80°, low angle first:
Position (°2θ), I (rel.)
39.14, 1000
39.29, 594
43.11, 410
43.68, 876
44.34, 426
53.27, 609

Crystal structure
abc: 9.4226 18.4598 3.4400
angles: 90.00 90.00 90.00
Sites, in units of the cell vectors:
Ti1 0.0000 0.0000 0.0000
Ti2 0.0065 0.2713 0.0000
Ti3 0.0991 0.1446 0.5000
Ti4 0.1464 0.5878 0.0000
Ti5 0.1878 0.4321 0.0000
Ti6 0.2319 0.8025 0.5000
Ti7 0.2681 0.3025 0.5000
Ti8 0.3122 0.9321 0.0000
Ti9 0.3536 0.0878 0.0000
Ti10 0.4009 0.6446 0.5000
Ti11 0.4935 0.7713 0.0000
Ti12 0.5000 0.5000 0.0000
Ti13 0.5065 0.2287 0.0000
Ti14 0.5991 0.3554 0.5000
Ti15 0.6464 0.9122 0.0000
Ti16 0.6878 0.0679 0.0000
Ti17 0.7319 0.6975 0.5000
Ti18 0.7681 0.1975 0.5000
Ti19 0.8122 0.5679 0.0000
Ti20 0.8536 0.4122 0.0000
Ti21 0.9009 0.8554 0.5000
Ti22 0.9935 0.7287 0.0000
Cu1 0.0000 0.5000 0.5000
Cu2 0.5000 0.0000 0.5000
P1 0.0379 0.3692 0.5000
P2 0.0859 0.8676 0.0000
P3 0.2055 0.0199 0.5000
P4 0.2447 0.2072 0.0000
P5 0.2553 0.7072 0.0000
P6 0.2945 0.5199 0.5000
P7 0.4141 0.3676 0.0000
P8 0.4621 0.8692 0.5000
P9 0.5379 0.1308 0.5000
P10 0.5859 0.6324 0.0000
P11 0.7055 0.4801 0.5000
P12 0.7447 0.2928 0.0000
P13 0.7553 0.7928 0.0000
P14 0.7945 0.9801 0.5000
P15 0.9141 0.1324 0.0000
P16 0.9621 0.6308 0.5000

10.
Calculated X-ray diffraction stick pattern of TlCu5P3 for copper Kα, from a DFT-relaxed cell (PBE, Alexandria).
Neutral-atom scattering factors, no anomalous dispersion.

Principal peaks in the range 10° ≤ 2θ ≤ 80°, low angle first:
Position (°2θ), I (rel.)
25.72, 746
28.59, 361
32.66, 810
37.95, 1000
47.75, 342
52.18, 623

Crystal structure
abc: 12.4868 12.4868 3.8094
angles: 90.00 90.00 90.00
Sites, in units of the cell vectors:
Tl1 0.1077 0.1077 0.0000
Tl2 0.3923 0.6077 0.5000
Tl3 0.6077 0.3923 0.5000
Tl4 0.8923 0.8923 0.0000
Cu1 0.0263 0.3927 0.0000
Cu2 0.0634 0.7184 0.5000
Cu3 0.1073 0.5263 0.5000
Cu4 0.1843 0.8157 0.0000
Cu5 0.2184 0.4366 0.0000
Cu6 0.2816 0.9366 0.5000
Cu7 0.3157 0.3157 0.5000
Cu8 0.3927 0.0263 0.0000
Cu9 0.4366 0.2184 0.0000
Cu10 0.4737 0.8927 0.5000
Cu11 0.5263 0.1073 0.5000
Cu12 0.5634 0.7816 0.0000
Cu13 0.6073 0.9737 0.0000
Cu14 0.6843 0.6843 0.5000
Cu15 0.7184 0.0634 0.5000
Cu16 0.7816 0.5634 0.0000
Cu17 0.8157 0.1843 0.0000
Cu18 0.8927 0.4737 0.5000
Cu19 0.9366 0.2816 0.5000
Cu20 0.9737 0.6073 0.0000
P1 0.1049 0.8951 0.5000
P2 0.1284 0.3413 0.5000
P3 0.1587 0.6284 0.0000
P4 0.3413 0.1284 0.5000
P5 0.3716 0.8413 0.0000
P6 0.3951 0.3951 0.0000
P7 0.6049 0.6049 0.0000
P8 0.6284 0.1587 0.0000
P9 0.6587 0.8716 0.5000
P10 0.8413 0.3716 0.0000
P11 0.8716 0.6587 0.5000
P12 0.8951 0.1049 0.5000

11.
Calculated X-ray diffraction stick pattern of U4CuP5 for copper Kα, from a DFT-relaxed cell (PBE, Alexandria).
Neutral-atom scattering factors, no anomalous dispersion.

Principal peaks in the range 10° ≤ 2θ ≤ 80°, low angle first:
Position (°2θ), I (rel.)
27.92, 891
33.11, 1000
45.82, 467
49.18, 211
56.02, 207
57.69, 207

Crystal structure
abc: 14.8543 14.8543 14.8543
angles: 15.32 15.32 15.32
Sites, in units of the cell vectors:
U1 0.1084 0.1084 0.1084
U2 0.2975 0.2975 0.2975
U3 0.7025 0.7025 0.7025
U4 0.8916 0.8916 0.8916
Cu1 0.5000 0.5000 0.5000
P1 0.0000 0.0000 0.0000
P2 0.1931 0.1931 0.1931
P3 0.4057 0.4057 0.4057
P4 0.5943 0.5943 0.5943
P5 0.8069 0.8069 0.8069